Record 1
Cu5Se2Cl2O8: theoretical X-ray diffraction stick pattern (CuKα), based on a GGA-PBE-relaxed structure.
Lines closer than 0.1° are merged.

Top 10 peaks for 10° ≤ 2θ ≤ 90°, by intensity:
two_theta, intensity
29.5, 100
34.5, 28
34.3, 20
15.8, 16
36.0, 15
20.2, 14
24.1, 14
31.6, 14
35.1, 14
34.2, 13

Structural model:
abc: 6.156 13.911 5.678
angles: 90.00 95.05 90.00
Fractional positions:
1 Cu 0.000 0.000 0.000
2 Cu 0.000 0.500 0.500
3 Cu 0.067 0.188 0.447
4 Cu 0.067 0.312 0.947
5 Cu 0.242 0.504 0.009
6 Cu 0.242 0.996 0.509
7 Cu 0.758 0.004 0.491
8 Cu 0.758 0.496 0.991
9 Cu 0.933 0.688 0.053
10 Cu 0.933 0.812 0.553
11 Se 0.434 0.135 0.100
12 Se 0.434 0.365 0.600
13 Se 0.566 0.635 0.400
14 Se 0.566 0.865 0.900
15 Cl 0.170 0.676 0.771
16 Cl 0.170 0.824 0.271
17 Cl 0.830 0.176 0.729
18 Cl 0.830 0.324 0.229
19 O 0.005 0.559 0.182
20 O 0.005 0.941 0.682
21 O 0.251 0.222 0.186
22 O 0.251 0.278 0.686
23 O 0.270 0.056 0.927
24 O 0.270 0.444 0.427
25 O 0.474 0.074 0.370
26 O 0.474 0.426 0.870
27 O 0.526 0.574 0.130
28 O 0.526 0.926 0.630
29 O 0.730 0.556 0.573
30 O 0.730 0.944 0.073
31 O 0.749 0.722 0.314
32 O 0.749 0.778 0.814
33 O 0.995 0.059 0.318
34 O 0.995 0.441 0.818

=====

Record 2
DyMgMoS4: theoretical X-ray diffraction stick pattern (CuKα), based on a GGA-PBE-relaxed structure.
Lines closer than 0.1° are merged.

Top 10 peaks for 10° ≤ 2θ ≤ 90°, by intensity:
two_theta, intensity
14.2, 100
47.6, 64
33.0, 58
27.2, 45
33.3, 28
27.4, 27
27.4, 24
36.2, 23
43.6, 18
49.9, 14

Structural model:
abc: 7.646 7.646 7.646
angles: 120.02 119.48 90.43
Fractional positions:
1 Dy 0.000 0.000 0.000
2 Dy 0.500 0.000 0.500
3 Mg 0.373 0.623 0.750
4 Mg 0.627 0.377 0.250
5 Mo 0.000 0.000 0.500
6 Mo 0.000 0.500 0.000
7 S 0.218 0.747 0.472
8 S 0.225 0.253 0.972
9 S 0.235 0.232 0.498
10 S 0.235 0.737 0.002
11 S 0.765 0.263 0.998
12 S 0.765 0.768 0.502
13 S 0.775 0.747 0.028
14 S 0.782 0.253 0.528

=====

Record 3
TiAu: theoretical X-ray diffraction stick pattern (CuKα), based on a GGA-PBE-relaxed structure.
Lines closer than 0.1° are merged.

Top 10 peaks for 10° ≤ 2θ ≤ 90°, by intensity:
two_theta, intensity
39.8, 100
38.1, 59
30.4, 49
14.4, 41
70.0, 37
55.0, 20
73.3, 15
40.9, 14
64.1, 13
59.6, 11

Structural model:
abc: 3.342 3.342 6.165
angles: 90.00 90.00 90.00
Fractional positions:
1 Ti 0.250 0.250 0.133
2 Ti 0.750 0.750 0.867
3 Au 0.250 0.250 0.641
4 Au 0.750 0.750 0.359

=====

Record 4
NdO2: theoretical X-ray diffraction stick pattern (CuKα), based on a GGA-PBE-relaxed structure.
Lines closer than 0.1° are merged.

Top 10 peaks for 10° ≤ 2θ ≤ 90°, by intensity:
two_theta, intensity
23.5, 100
28.7, 49
29.0, 44
44.4, 40
45.1, 36
48.0, 27
54.1, 20
34.0, 13
32.9, 13
56.2, 11

Structural model:
abc: 5.277 5.445 3.790
angles: 90.00 90.00 90.00
Fractional positions:
1 Nd 0.000 0.000 0.000
2 Nd 0.500 0.500 0.500
3 O 0.180 0.203 0.500
4 O 0.320 0.703 0.000
5 O 0.680 0.297 0.000
6 O 0.820 0.797 0.500

=====

Record 5
K2UH6C2SO13: theoretical X-ray diffraction stick pattern (CuKα), based on a GGA-PBE-relaxed structure.
Lines closer than 0.1° are merged.

Top 10 peaks for 10° ≤ 2θ ≤ 90°, by intensity:
two_theta, intensity
19.0, 100
11.9, 91
17.5, 83
24.3, 62
16.9, 60
20.0, 47
18.6, 43
16.6, 33
20.8, 32
23.4, 31

Structural model:
abc: 5.837 9.634 11.946
angles: 89.55 85.93 82.48
Fractional positions:
1 K 0.208 0.353 0.066
2 K 0.253 0.982 0.856
3 K 0.747 0.018 0.144
4 K 0.792 0.647 0.934
5 U 0.230 0.765 0.399
6 U 0.770 0.235 0.601
7 H 0.008 0.778 0.690
8 H 0.157 0.458 0.770
9 H 0.182 0.098 0.278
10 H 0.345 0.651 0.794
11 H 0.370 0.450 0.845
12 H 0.496 0.279 0.295
13 H 0.504 0.721 0.705
14 H 0.630 0.550 0.155
15 H 0.655 0.349 0.206
16 H 0.818 0.902 0.722
17 H 0.843 0.542 0.230
18 H 0.992 0.222 0.310
19 C 0.029 0.519 0.560
20 C 0.500 0.039 0.444
21 C 0.500 0.961 0.556
22 C 0.971 0.481 0.440
23 S 0.267 0.769 0.097
24 S 0.733 0.231 0.903
25 O 0.033 0.560 0.361
26 O 0.045 0.132 0.562
27 O 0.063 0.165 0.246
28 O 0.071 0.809 0.027
29 O 0.131 0.626 0.569
30 O 0.171 0.812 0.218
31 O 0.213 0.499 0.836
32 O 0.341 0.616 0.097
33 O 0.412 0.982 0.364
34 O 0.414 0.848 0.561
35 O 0.462 0.847 0.066
36 O 0.465 0.715 0.785
37 O 0.497 0.343 0.637
38 O 0.503 0.657 0.363
39 O 0.535 0.285 0.215
40 O 0.538 0.153 0.934
41 O 0.586 0.152 0.439
42 O 0.588 0.018 0.636
43 O 0.659 0.384 0.903
44 O 0.787 0.501 0.164
45 O 0.829 0.188 0.782
46 O 0.869 0.374 0.431
47 O 0.929 0.191 0.973
48 O 0.937 0.835 0.754
49 O 0.955 0.868 0.438
50 O 0.967 0.440 0.639

=====

Record 6
Sn2Pd3Au: theoretical X-ray diffraction stick pattern (CuKα), based on a GGA-PBE-relaxed structure.
Lines closer than 0.1° are merged.

Top 10 peaks for 10° ≤ 2θ ≤ 90°, by intensity:
two_theta, intensity
38.3, 100
38.9, 96
70.1, 34
55.8, 34
77.8, 19
70.5, 17
83.6, 11
27.1, 8
68.9, 5
64.3, 5

Structural model:
abc: 4.626 4.626 5.793
angles: 90.00 90.00 120.00
Fractional positions:
1 Sn 0.333 0.667 0.219
2 Sn 0.667 0.333 0.781
3 Pd 0.000 0.000 0.000
4 Pd 0.333 0.667 0.724
5 Pd 0.667 0.333 0.276
6 Au 0.000 0.000 0.500

=====

Record 7
Cs2Sb8S13: theoretical X-ray diffraction stick pattern (CuKα), based on a GGA-PBE-relaxed structure.
Lines closer than 0.1° are merged.

Top 10 peaks for 10° ≤ 2θ ≤ 90°, by intensity:
two_theta, intensity
21.5, 100
32.2, 80
31.0, 72
31.1, 68
23.3, 65
22.0, 63
20.5, 56
11.4, 52
27.3, 48
37.0, 48

Structural model:
abc: 8.544 11.681 15.704
angles: 85.37 77.08 73.07
Fractional positions:
1 Cs 0.202 0.436 0.262
2 Cs 0.218 0.145 0.509
3 Cs 0.782 0.855 0.491
4 Cs 0.798 0.564 0.738
5 Sb 0.016 0.777 0.076
6 Sb 0.145 0.797 0.773
7 Sb 0.204 0.471 0.916
8 Sb 0.250 0.004 0.089
9 Sb 0.336 0.626 0.566
10 Sb 0.395 0.029 0.774
11 Sb 0.467 0.729 0.951
12 Sb 0.489 0.327 0.685
13 Sb 0.511 0.673 0.315
14 Sb 0.533 0.271 0.049
15 Sb 0.605 0.971 0.226
16 Sb 0.664 0.374 0.434
17 Sb 0.750 0.996 0.911
18 Sb 0.796 0.529 0.084
19 Sb 0.855 0.203 0.227
20 Sb 0.984 0.223 0.924
21 S 0.054 0.365 0.065
22 S 0.058 0.750 0.634
23 S 0.091 0.881 0.192
24 S 0.120 0.351 0.811
25 S 0.228 0.890 0.923
26 S 0.256 0.642 0.420
27 S 0.290 0.423 0.589
28 S 0.291 0.617 0.054
29 S 0.332 0.105 0.204
30 S 0.350 0.600 0.780
31 S 0.357 0.889 0.674
32 S 0.474 0.154 0.937
33 S 0.476 0.875 0.367
34 S 0.524 0.125 0.633
35 S 0.526 0.846 0.063
36 S 0.643 0.111 0.326
37 S 0.650 0.400 0.220
38 S 0.668 0.895 0.796
39 S 0.709 0.383 0.946
40 S 0.710 0.577 0.411
41 S 0.744 0.358 0.580
42 S 0.772 0.110 0.077
43 S 0.880 0.649 0.189
44 S 0.909 0.119 0.808
45 S 0.942 0.250 0.366
46 S 0.946 0.635 0.935

=====

Record 8
RbMo3Se3: theoretical X-ray diffraction stick pattern (CuKα), based on a GGA-PBE-relaxed structure.
Lines closer than 0.1° are merged.

Top 10 peaks for 10° ≤ 2θ ≤ 90°, by intensity:
two_theta, intensity
10.8, 100
43.1, 33
39.7, 30
35.1, 27
44.6, 23
28.8, 17
52.7, 17
85.7, 12
27.2, 11
29.4, 9

Structural model:
abc: 9.459 9.459 4.537
angles: 90.00 90.00 120.00
Fractional positions:
1 Rb 0.333 0.667 0.250
2 Rb 0.667 0.333 0.750
3 Mo 0.027 0.852 0.250
4 Mo 0.148 0.175 0.250
5 Mo 0.175 0.027 0.750
6 Mo 0.825 0.973 0.250
7 Mo 0.852 0.825 0.750
8 Mo 0.973 0.148 0.750
9 Se 0.054 0.708 0.750
10 Se 0.292 0.346 0.750
11 Se 0.346 0.054 0.250
12 Se 0.654 0.946 0.750
13 Se 0.708 0.654 0.250
14 Se 0.946 0.292 0.250